This entry pairs a crystal structure of Tb9Pr2Ho3 with its theoretical XRD peak list. Radiation: a wavelength of 1.5418 Å. Structure: a PBE-relaxed structure.

Principal peaks in the range 10° ≤ 2θ ≤ 80°, sorted by position:
- 2θ 28.12, intensity 78.3
- 2θ 29.31, intensity 34.1
- 2θ 30.27, intensity 59.0
- 2θ 31.03, intensity 86.6
- 2θ 31.95, intensity 100.0
- 2θ 32.53, intensity 98.6
- 2θ 34.38, intensity 57.1
- 2θ 34.51, intensity 72.3

Crystal structure
Unit cell a=9.7201 b=9.7201 c=6.5210 alpha=102.32 beta=102.32 gamma=54.13
Element x y z (fractional)
Tb1 0.0000 0.0000 0.0000
Tb2 0.0061 0.6658 0.1716
Tb3 0.1027 0.5743 0.6926
Tb4 0.3342 0.9939 0.8284
Tb5 0.4257 0.8973 0.3074
Tb6 0.5743 0.1027 0.6926
Tb7 0.6658 0.0061 0.1716
Tb8 0.8973 0.4257 0.3074
Tb9 0.9939 0.3342 0.8284
Pr1 0.3066 0.6934 0.5000
Pr2 0.6934 0.3066 0.5000
Ho1 0.3073 0.3073 0.2480
Ho2 0.5000 0.5000 0.0000
Ho3 0.6927 0.6927 0.7520